No. 1
For Np3SbH, a crystal structure in Alexandria, relaxed with GGA-PBE gives the computed powder diffractogram in this record (CuKα).

Structural model:
```
data_Np3SbH
_space_group_name_H-M_alt 'P 1 21 1'
_space_group_IT_number 4
_space_group_name_Hall 'P 2yb'
_cell_length_a 6.1362
_cell_length_b 4.4668
_cell_length_c 7.4554
_cell_angle_alpha 90.00
_cell_angle_beta 113.90
_cell_angle_gamma 90.00
loop_
_atom_site_label
_atom_site_type_symbol
_atom_site_fract_x
_atom_site_fract_y
_atom_site_fract_z
Np1 Np 0.0939 0.0000 0.0069
Np2 Np 0.1499 0.4984 0.6654
Np3 Np 0.2621 0.9994 0.3592
Sb1 Sb 0.4716 0.4999 0.1739
H1 H 0.0612 0.5090 0.3365
```

The 10 most intense peaks (2θ from 10° to 90°), in order of rising 2θ:
| 2θ/deg | d_spacing | I/Imax |
| --- | --- | --- |
| 15.82 | 5.602 | 356 |
| 23.82 | 3.736 | 424 |
| 33.06 | 2.709 | 626 |
| 35.50 | 2.529 | 1000 |
| 36.14 | 2.485 | 289 |
| 39.38 | 2.288 | 244 |
| 39.67 | 2.272 | 285 |
| 40.39 | 2.233 | 475 |
| 57.91 | 1.593 | 292 |
| 60.42 | 1.532 | 296 |


No. 2
For Np4SbH4, a crystal structure in Alexandria, relaxed with GGA-PBE gives the computed powder diffractogram in this record (CuKα).

Structural model:
```
data_Np4SbH4
_space_group_name_H-M_alt 'I 4/m'
_space_group_IT_number 87
_space_group_name_Hall '-I 4'
_cell_length_a 7.8128
_cell_length_b 7.8128
_cell_length_c 4.5476
_cell_angle_alpha 90.00
_cell_angle_beta 90.00
_cell_angle_gamma 90.00
loop_
_atom_site_label
_atom_site_type_symbol
_atom_site_fract_x
_atom_site_fract_y
_atom_site_fract_z
Np1 Np 0.1188 0.3125 0.0000
Sb1 Sb 0.0000 0.0000 0.5000
H1 H 0.1202 0.3463 0.5000
```

The 10 most intense peaks (2θ from 10° to 90°), in order of rising 2θ:
| 2θ/deg | d_spacing | I/Imax |
| --- | --- | --- |
| 32.31 | 2.771 | 1000 |
| 36.36 | 2.471 | 336 |
| 39.64 | 2.274 | 145 |
| 52.36 | 1.747 | 141 |
| 54.87 | 1.673 | 210 |
| 62.89 | 1.478 | 244 |
| 67.33 | 1.391 | 127 |
| 67.63 | 1.385 | 103 |
| 77.22 | 1.235 | 47 |
| 88.49 | 1.105 | 47 |


No. 3
For NpTcH5, a crystal structure in Alexandria, relaxed with GGA-PBE gives the computed powder diffractogram in this record (CuKα).

Structural model:
```
data_NpTcH5
_space_group_name_H-M_alt 'I m m m'
_space_group_IT_number 71
_space_group_name_Hall '-I 2 2'
_cell_length_a 3.7410
_cell_length_b 4.7454
_cell_length_c 6.4344
_cell_angle_alpha 90.00
_cell_angle_beta 90.00
_cell_angle_gamma 90.00
loop_
_atom_site_label
_atom_site_type_symbol
_atom_site_fract_x
_atom_site_fract_y
_atom_site_fract_z
Np1 Np 0.0000 0.0000 0.0000
Tc1 Tc 0.0000 0.0000 0.5000
H1 H 0.0000 0.2843 0.3251
H2 H 0.0000 0.5000 0.0000
```

The 10 most intense peaks (2θ from 10° to 90°), in order of rising 2θ:
| 2θ/deg | d_spacing | I/Imax |
| --- | --- | --- |
| 23.29 | 3.819 | 284 |
| 27.58 | 3.234 | 190 |
| 27.73 | 3.217 | 636 |
| 30.43 | 2.938 | 1000 |
| 37.92 | 2.373 | 278 |
| 41.63 | 2.169 | 874 |
| 47.60 | 1.910 | 406 |
| 66.24 | 1.411 | 224 |
| 70.47 | 1.336 | 190 |
| 71.02 | 1.327 | 182 |


No. 4
For Th2NpH8, a crystal structure in Alexandria, relaxed with GGA-PBE gives the computed powder diffractogram in this record (CuKα).

Structural model:
```
data_Th2NpH8
_space_group_name_H-M_alt 'I m m m'
_space_group_IT_number 71
_space_group_name_Hall '-I 2 2'
_cell_length_a 3.5337
_cell_length_b 6.1643
_cell_length_c 10.5645
_cell_angle_alpha 90.00
_cell_angle_beta 90.00
_cell_angle_gamma 90.00
loop_
_atom_site_label
_atom_site_type_symbol
_atom_site_fract_x
_atom_site_fract_y
_atom_site_fract_z
Th1 Th 0.0000 0.0000 0.1674
Np1 Np 0.0000 0.0000 0.5000
H1 H 0.0000 0.2498 0.0000
H2 H 0.0000 0.2503 0.3386
H3 H 0.0000 0.5000 0.1637
```

The 10 most intense peaks (2θ from 10° to 90°), in order of rising 2θ:
| 2θ/deg | d_spacing | I/Imax |
| --- | --- | --- |
| 28.97 | 3.082 | 252 |
| 29.17 | 3.062 | 1000 |
| 36.01 | 2.494 | 288 |
| 46.86 | 1.939 | 291 |
| 51.47 | 1.776 | 216 |
| 60.53 | 1.529 | 201 |
| 60.65 | 1.527 | 133 |
| 72.03 | 1.311 | 81 |
| 76.00 | 1.252 | 70 |
| 83.62 | 1.156 | 84 |


Repeat the second record exactly.
For Np4SbH4, a crystal structure in Alexandria, relaxed with GGA-PBE gives the computed powder diffractogram in this record (CuKα).

Structural model:
```
data_Np4SbH4
_space_group_name_H-M_alt 'I 4/m'
_space_group_IT_number 87
_space_group_name_Hall '-I 4'
_cell_length_a 7.8128
_cell_length_b 7.8128
_cell_length_c 4.5476
_cell_angle_alpha 90.00
_cell_angle_beta 90.00
_cell_angle_gamma 90.00
loop_
_atom_site_label
_atom_site_type_symbol
_atom_site_fract_x
_atom_site_fract_y
_atom_site_fract_z
Np1 Np 0.1188 0.3125 0.0000
Sb1 Sb 0.0000 0.0000 0.5000
H1 H 0.1202 0.3463 0.5000
```

The 10 most intense peaks (2θ from 10° to 90°), in order of rising 2θ:
| 2θ/deg | d_spacing | I/Imax |
| --- | --- | --- |
| 32.31 | 2.771 | 1000 |
| 36.36 | 2.471 | 336 |
| 39.64 | 2.274 | 145 |
| 52.36 | 1.747 | 141 |
| 54.87 | 1.673 | 210 |
| 62.89 | 1.478 | 244 |
| 67.33 | 1.391 | 127 |
| 67.63 | 1.385 | 103 |
| 77.22 | 1.235 | 47 |
| 88.49 | 1.105 | 47 |


Which formula does entry 3 have? NpTcH5


What did the fourth record say?
For Th2NpH8, a crystal structure in Alexandria, relaxed with GGA-PBE gives the computed powder diffractogram in this record (CuKα).

Structural model:
```
data_Th2NpH8
_space_group_name_H-M_alt 'I m m m'
_space_group_IT_number 71
_space_group_name_Hall '-I 2 2'
_cell_length_a 3.5337
_cell_length_b 6.1643
_cell_length_c 10.5645
_cell_angle_alpha 90.00
_cell_angle_beta 90.00
_cell_angle_gamma 90.00
loop_
_atom_site_label
_atom_site_type_symbol
_atom_site_fract_x
_atom_site_fract_y
_atom_site_fract_z
Th1 Th 0.0000 0.0000 0.1674
Np1 Np 0.0000 0.0000 0.5000
H1 H 0.0000 0.2498 0.0000
H2 H 0.0000 0.2503 0.3386
H3 H 0.0000 0.5000 0.1637
```

The 10 most intense peaks (2θ from 10° to 90°), in order of rising 2θ:
| 2θ/deg | d_spacing | I/Imax |
| --- | --- | --- |
| 28.97 | 3.082 | 252 |
| 29.17 | 3.062 | 1000 |
| 36.01 | 2.494 | 288 |
| 46.86 | 1.939 | 291 |
| 51.47 | 1.776 | 216 |
| 60.53 | 1.529 | 201 |
| 60.65 | 1.527 | 133 |
| 72.03 | 1.311 | 81 |
| 76.00 | 1.252 | 70 |
| 83.62 | 1.156 | 84 |